# V7C2N2O16
Simulated X-ray diffraction stick pattern, λ = 1.5418 Å (Cu Kα). Input: a DFT-relaxed cell (GGA+U, the Materials Project).
Lines closer than 0.1° are merged.

Cell and atoms:
```
V7C2N2O16
1.0
6.198 0.000 0.000
-0.003 6.201 0.000
-2.204 -0.768 20.452
V C N O
14 4 4 32
direct
0.004 0.411 0.171
0.031 0.920 0.249
0.215 0.499 0.677
0.329 0.360 0.324
0.424 0.817 0.824
0.436 0.639 0.176
0.442 0.069 0.672
0.558 0.931 0.328
0.564 0.361 0.824
0.576 0.183 0.176
0.671 0.640 0.676
0.785 0.501 0.323
0.969 0.080 0.751
0.996 0.589 0.829
0.065 0.073 0.987
0.072 0.931 0.487
0.928 0.069 0.513
0.935 0.927 0.013
0.176 0.196 0.965
0.195 0.813 0.466
0.805 0.187 0.534
0.824 0.804 0.035
0.023 0.606 0.908
0.047 0.428 0.292
0.106 0.881 0.804
0.132 0.710 0.195
0.155 0.191 0.697
0.167 0.496 0.599
0.254 0.048 0.303
0.300 0.517 0.807
0.325 0.344 0.193
0.335 0.372 0.401
0.379 0.759 0.694
0.410 0.059 0.594
0.412 0.651 0.098
0.458 0.850 0.902
0.481 0.616 0.306
0.483 0.085 0.793
0.517 0.915 0.207
0.519 0.384 0.694
0.542 0.150 0.098
0.588 0.349 0.902
0.590 0.941 0.406
0.621 0.241 0.306
0.665 0.628 0.599
0.675 0.656 0.807
0.700 0.483 0.193
0.746 0.952 0.697
0.833 0.504 0.401
0.845 0.809 0.303
0.868 0.290 0.805
0.894 0.119 0.196
0.953 0.572 0.708
0.977 0.394 0.092
```

Peak list (10 most intense, 10 to 80 degrees two-theta, sorted by position)
- d 3.743, 23.77 deg, rel. 45, (1 0 4)
- d 3.409, 26.14 deg, rel. 100, (0 0 6)
- d 3.081, 28.98 deg, rel. 51, (0 2 -1)
- d 2.936, 30.45 deg, rel. 38, (0 2 2)
- d 2.768, 32.34 deg, rel. 47, (-2 1 1)
- d 2.723, 32.89 deg, rel. 46, (-2 1 2)
- d 2.688, 33.33 deg, rel. 59, (2 1 1)
- d 2.663, 33.65 deg, rel. 60, (1 -2 2)
- d 2.557, 35.10 deg, rel. 53, (0 0 8)
- d 1.960, 46.32 deg, rel. 81, (1 3 -1)